Entry 1:
Simulated powder diffraction line list
Compound: Er4Al2ZnCd
Radiation: Cu Kα, 1.54184 Å
Structure: a crystal structure in Alexandria, relaxed with PBE
Kinematic intensities with the Lorentz-polarization factor, no thermal factor.

Most intense lines, 2θ from 15° to 90°, sorted by position:
d [Å]	two_theta	I (rel.)
3.600	24.73	27
2.546	35.26	100
2.078	43.54	8
1.800	50.72	18
1.610	57.22	11
1.470	63.27	35
1.273	74.56	11
1.138	85.25	15

Cell and atoms:
Lattice parameters (Å, degrees): 5.0900 5.0900 24.9549 90.00 90.00 120.00
Space group R-3m (No. 166, hexagonal axes)
Inequivalent atoms, fractional coordinates:
Er (0.0000, 0.0000, 0.1215) [6 per cell]
Er (0.0000, 0.0000, 0.3718) [6 per cell]
Al (0.0000, 0.0000, 0.2483) [6 per cell]
Zn (0.0000, 0.0000, 0.0000) [3 per cell]
Cd (0.0000, 0.0000, 0.5000) [3 per cell]



Entry 2:
Simulated powder diffraction line list
Compound: Al2CdPF
Radiation: Cu Kα, 1.54184 Å
Structure: a crystal structure in Alexandria, relaxed with PBE
Kinematic intensities with the Lorentz-polarization factor, no thermal factor.

Most intense lines, 2θ from 15° to 90°, sorted by position:
d [Å]	two_theta	I (rel.)
5.133	17.28	98
4.276	20.77	42
3.629	24.53	51
3.285	27.14	100
2.566	34.96	78
2.200	41.02	29
2.022	44.81	50
1.643	55.98	37

Cell and atoms:
Lattice parameters (Å, degrees): 5.133 5.133 4.276 90.00 90.00 90.00
Space group P4/mmm (No. 123)
Inequivalent atoms, fractional coordinates:
Al (0.000, 0.500, 0.000) [2 per cell]
Cd (0.000, 0.000, 0.000) [1 per cell]
P (0.500, 0.500, 0.500) [1 per cell]
F (0.000, 0.000, 0.500) [1 per cell]



Entry 3:
Simulated powder diffraction line list
Compound: AlCd3Se2F6
Radiation: Cu Kα, 1.54184 Å
Structure: a crystal structure in Alexandria, relaxed with PBE
Kinematic intensities with the Lorentz-polarization factor, no thermal factor.

Most intense lines, 2θ from 15° to 90°, sorted by position:
d [Å]	two_theta	I (rel.)
4.004	22.20	44
3.831	23.22	100
3.082	28.97	58
2.690	33.30	99
2.464	36.46	54
2.104	42.99	31
2.027	44.72	65
1.915	47.47	64

Cell and atoms:
Lattice parameters (Å, degrees): 12.327 6.261 5.262 90.00 90.19 90.00
Space group C2/m (No. 12)
Inequivalent atoms, fractional coordinates:
Al (0.000, 0.000, 0.000) [2 per cell]
Cd (0.000, 0.500, 0.500) [2 per cell]
Cd (0.250, 0.250, 0.000) [4 per cell]
Se (0.209, 0.500, 0.597) [4 per cell]
F (0.063, 0.214, 0.193) [8 per cell]
F (0.124, 0.000, 0.812) [4 per cell]



Entry 4:
Simulated powder diffraction line list
Compound: AlCdGa
Radiation: Cu Kα, 1.54184 Å
Structure: a crystal structure in Alexandria, relaxed with PBE
Kinematic intensities with the Lorentz-polarization factor, no thermal factor.

Most intense lines, 2θ from 15° to 90°, sorted by position:
d [Å]	two_theta	I (rel.)
2.638	33.98	97
2.618	34.25	100
2.343	38.41	76
2.279	39.54	64
2.224	40.56	60
2.208	40.88	58
1.974	45.99	38
1.761	51.92	29

Cell and atoms:
Lattice parameters (Å, degrees): 2.852 6.312 7.046 106.52 90.46 101.31
Space group P-1 (No. 2)
Inequivalent atoms, fractional coordinates:
Al (0.006, 0.011, 0.220) [2 per cell]
Cd (0.346, 0.692, 0.420) [2 per cell]
Ga (0.338, 0.663, 0.925) [2 per cell]